Entry 1:
Theoretical X-ray diffraction stick pattern of Rb2Ga6Ge3 for Cu Kα, 1.54184 Å, from a DFT-relaxed cell (PBE, Alexandria).

Crystal structure
```
Rb2Ga6Ge3
1.0
8.580 0.000 0.000
-4.290 7.430 0.000
0.000 0.000 4.518
Rb Ga Ge
2 6 3
direct
0.333 0.667 0.000 Rb
0.667 0.333 0.000 Rb
0.000 0.262 0.500 Ga
0.000 0.822 0.000 Ga
0.178 0.178 0.000 Ga
0.262 0.000 0.500 Ga
0.738 0.738 0.500 Ga
0.822 0.000 0.000 Ga
0.000 0.662 0.500 Ge
0.338 0.338 0.500 Ge
0.662 0.000 0.500 Ge
```

Main lines, low angle first (10 to 80 degrees two-theta):
d 7.430, 11.9 deg, I = 31; d 3.111, 28.7 deg, I = 100; d 2.808, 31.9 deg, I = 27; d 2.477, 36.3 deg, I = 33; d 2.385, 37.7 deg, I = 58; d 2.259, 39.9 deg, I = 31; d 1.938, 46.9 deg, I = 30; d 1.669, 55.0 deg, I = 19



Entry 2:
Theoretical X-ray diffraction stick pattern of RbGa2Ge6 for Cu Kα, 1.54184 Å, from a DFT-relaxed cell (PBE, Alexandria).

Crystal structure
```
RbGa2Ge6
1.0
0.000 8.969 8.046
2.917 0.000 8.046
2.917 8.969 0.000
Rb Ga Ge
2 4 12
direct
0.000 0.000 0.000 Rb
0.250 0.250 0.250 Rb
0.515 0.728 0.336 Ga
0.728 0.515 0.420 Ga
0.830 0.914 0.522 Ga
0.914 0.830 0.735 Ga
0.000 0.080 0.358 Ge
0.080 0.000 0.562 Ge
0.188 0.235 0.671 Ge
0.235 0.188 0.906 Ge
0.344 0.579 0.015 Ge
0.351 0.400 0.496 Ge
0.400 0.351 0.752 Ge
0.498 0.754 0.850 Ge
0.579 0.344 0.062 Ge
0.688 0.892 0.170 Ge
0.754 0.498 0.899 Ge
0.892 0.688 0.250 Ge
```

Main lines, low angle first (10 to 80 degrees two-theta):
d 3.001, 29.8 deg, I = 47; d 2.802, 31.9 deg, I = 39; d 2.784, 32.2 deg, I = 100; d 2.774, 32.3 deg, I = 61; d 2.088, 43.3 deg, I = 30; d 1.896, 48.0 deg, I = 21; d 1.837, 49.6 deg, I = 38; d 1.642, 56.0 deg, I = 25



Entry 3:
Theoretical X-ray diffraction stick pattern of Ga3ReGe for Cu Kα, 1.54184 Å, from a DFT-relaxed cell (PBE, Alexandria).

Crystal structure
```
Ga3ReGe
1.0
5.066 0.000 0.000
0.000 4.762 0.000
-2.408 0.000 7.351
Ga Re Ge
6 2 2
direct
0.064 0.000 0.124 Ga
0.100 0.020 0.727 Ga
0.387 0.247 0.495 Ga
0.613 0.747 0.505 Ga
0.900 0.520 0.273 Ga
0.936 0.500 0.876 Ga
0.368 0.509 0.211 Re
0.632 0.009 0.789 Re
0.436 0.522 0.874 Ge
0.564 0.022 0.126 Ge
```

Main lines, low angle first (10 to 80 degrees two-theta):
d 4.814, 18.4 deg, I = 47; d 3.997, 22.2 deg, I = 84; d 3.676, 24.2 deg, I = 42; d 2.381, 37.8 deg, I = 59; d 2.179, 41.4 deg, I = 77; d 2.148, 42.1 deg, I = 100; d 2.130, 42.4 deg, I = 97; d 1.998, 45.4 deg, I = 57



Entry 4:
Theoretical X-ray diffraction stick pattern of Ga3ReGe for Cu Kα, 1.54184 Å, from a DFT-relaxed cell (PBE, Alexandria).

Crystal structure
```
Ga3ReGe
1.0
4.868 0.000 0.000
0.000 5.100 0.000
-1.398 0.000 6.872
Ga Re Ge
6 2 2
direct
0.132 0.250 0.469 Ga
0.332 0.508 0.822 Ga
0.332 0.992 0.822 Ga
0.668 0.008 0.178 Ga
0.668 0.492 0.178 Ga
0.868 0.750 0.531 Ga
0.156 0.250 0.102 Re
0.844 0.750 0.898 Re
0.194 0.750 0.253 Ge
0.806 0.250 0.747 Ge
```

Main lines, low angle first (10 to 80 degrees two-theta):
d 6.872, 12.9 deg, I = 100; d 3.484, 25.6 deg, I = 37; d 2.850, 31.4 deg, I = 32; d 2.287, 39.4 deg, I = 68; d 2.249, 40.1 deg, I = 47; d 2.199, 41.0 deg, I = 78; d 2.126, 42.5 deg, I = 37; d 2.090, 43.3 deg, I = 45



Entry 5:
Theoretical X-ray diffraction stick pattern of Ga5GeRh6 for Cu Kα, 1.54184 Å, from a DFT-relaxed cell (PBE, Alexandria).

Crystal structure
```
Ga5GeRh6
1.0
2.106 -6.331 0.000
2.106 6.331 0.000
0.000 0.000 6.361
Ga Ge Rh
5 1 6
direct
0.000 0.000 0.000 Ga
0.331 0.669 0.500 Ga
0.334 0.666 0.000 Ga
0.666 0.334 0.000 Ga
0.669 0.331 0.500 Ga
0.000 0.000 0.500 Ge
0.166 0.834 0.250 Rh
0.166 0.834 0.750 Rh
0.500 0.500 0.254 Rh
0.500 0.500 0.746 Rh
0.834 0.166 0.250 Rh
0.834 0.166 0.750 Rh
```

Main lines, low angle first (10 to 80 degrees two-theta):
d 2.981, 30.0 deg, I = 4; d 2.175, 41.5 deg, I = 100; d 2.108, 42.9 deg, I = 45; d 1.590, 58.0 deg, I = 9; d 1.491, 62.3 deg, I = 15; d 1.270, 74.8 deg, I = 17; d 1.230, 77.6 deg, I = 15; d 1.229, 77.7 deg, I = 15



Entry 6:
Theoretical X-ray diffraction stick pattern of GaGe2Rh2 for Cu Kα, 1.54184 Å, from a DFT-relaxed cell (PBE, Alexandria).

Crystal structure
```
GaGe2Rh2
1.0
4.050 0.000 0.000
2.024 4.443 0.000
0.009 2.032 4.693
Ga Ge Rh
1 2 2
direct
0.000 0.000 0.000 Ga
0.342 0.315 0.408 Ge
0.658 0.685 0.592 Ge
0.310 0.380 0.873 Rh
0.690 0.620 0.127 Rh
```

Main lines, low angle first (10 to 80 degrees two-theta):
d 4.693, 18.9 deg, I = 18; d 4.077, 21.8 deg, I = 29; d 2.652, 33.8 deg, I = 24; d 2.510, 35.8 deg, I = 42; d 2.257, 40.0 deg, I = 100; d 2.151, 42.0 deg, I = 37; d 2.025, 44.8 deg, I = 40; d 1.828, 49.9 deg, I = 38



Entry 7:
Theoretical X-ray diffraction stick pattern of Ga5GeRh3 for Cu Kα, 1.54184 Å, from a DFT-relaxed cell (PBE, Alexandria).

Crystal structure
```
Ga5GeRh3
1.0
5.356 -4.499 0.000
5.356 4.499 0.000
-4.881 0.000 7.335
Ga Ge Rh
10 2 6
direct
0.221 0.771 0.667 Ga
0.225 0.775 0.000 Ga
0.229 0.779 0.333 Ga
0.273 0.273 0.341 Ga
0.278 0.278 0.021 Ga
0.722 0.722 0.979 Ga
0.727 0.727 0.659 Ga
0.771 0.221 0.667 Ga
0.775 0.225 0.000 Ga
0.779 0.229 0.333 Ga
0.274 0.274 0.685 Ge
0.726 0.726 0.315 Ge
0.000 0.000 0.500 Rh
0.002 0.002 0.836 Rh
0.491 0.491 0.661 Rh
0.500 0.500 0.000 Rh
0.509 0.509 0.339 Rh
0.998 0.998 0.164 Rh
```

Main lines, low angle first (10 to 80 degrees two-theta):
d 4.499, 19.7 deg, I = 96; d 4.459, 19.9 deg, I = 91; d 2.460, 36.5 deg, I = 100; d 2.445, 36.8 deg, I = 33; d 2.249, 40.1 deg, I = 71; d 2.229, 40.5 deg, I = 69; d 2.042, 44.4 deg, I = 91; d 1.583, 58.3 deg, I = 41



Entry 8:
Theoretical X-ray diffraction stick pattern of ThGaGe2Ru for Cu Kα, 1.54184 Å, from a DFT-relaxed cell (PBE, Alexandria).

Crystal structure
```
ThGaGe2Ru
1.0
5.873 0.000 0.000
0.000 5.682 0.000
0.000 0.000 5.768
Th Ga Ge Ru
2 2 4 2
direct
0.250 0.000 0.224 Th
0.750 0.000 0.776 Th
0.250 0.500 0.364 Ga
0.750 0.500 0.636 Ga
0.250 0.237 0.732 Ge
0.250 0.763 0.732 Ge
0.750 0.237 0.268 Ge
0.750 0.763 0.268 Ge
0.000 0.500 0.000 Ru
0.500 0.500 0.000 Ru
```

Main lines, low angle first (10 to 80 degrees two-theta):
d 3.333, 26.7 deg, I = 33; d 2.937, 30.4 deg, I = 31; d 2.609, 34.4 deg, I = 27; d 2.572, 34.9 deg, I = 36; d 2.377, 37.8 deg, I = 20; d 2.338, 38.5 deg, I = 100; d 2.058, 44.0 deg, I = 42; d 1.553, 59.5 deg, I = 28



Entry 9:
Theoretical X-ray diffraction stick pattern of Th2Ga4Ge2Ru for Cu Kα, 1.54184 Å, from a DFT-relaxed cell (PBE, Alexandria).

Crystal structure
```
Th2Ga4Ge2Ru
1.0
-3.139 3.139 4.505
3.139 -3.139 4.505
3.139 3.139 -4.505
Th Ga Ge Ru
2 4 2 1
direct
0.250 0.750 0.500 Th
0.750 0.250 0.500 Th
0.216 0.216 0.432 Ga
0.216 0.784 0.000 Ga
0.784 0.216 0.000 Ga
0.784 0.784 0.568 Ga
0.221 0.221 0.000 Ge
0.779 0.779 0.000 Ge
0.500 0.500 0.000 Ru
```

Main lines, low angle first (10 to 80 degrees two-theta):
d 3.162, 28.2 deg, I = 54; d 3.139, 28.4 deg, I = 28; d 2.576, 34.8 deg, I = 100; d 2.253, 40.0 deg, I = 28; d 2.220, 40.6 deg, I = 52; d 1.817, 50.2 deg, I = 18; d 1.581, 58.4 deg, I = 33; d 1.340, 70.2 deg, I = 20



Entry 10:
Theoretical X-ray diffraction stick pattern of YGa2GeRu2 for Cu Kα, 1.54184 Å, from a DFT-relaxed cell (PBE, Alexandria).

Crystal structure
```
YGa2GeRu2
1.0
4.546 0.000 0.000
0.000 4.546 0.000
0.000 0.000 5.596
Y Ga Ge Ru
1 2 1 2
direct
0.000 0.000 0.000 Y
0.500 0.500 0.232 Ga
0.500 0.500 0.768 Ga
0.000 0.000 0.500 Ge
0.000 0.500 0.500 Ru
0.500 0.000 0.500 Ru
```

Main lines, low angle first (10 to 80 degrees two-theta):
d 5.596, 15.8 deg, I = 58; d 2.787, 32.1 deg, I = 76; d 2.383, 37.8 deg, I = 82; d 2.273, 39.7 deg, I = 100; d 2.108, 42.9 deg, I = 38; d 1.645, 55.9 deg, I = 51; d 1.607, 57.3 deg, I = 33; d 1.393, 67.2 deg, I = 25



Entry 11:
Theoretical X-ray diffraction stick pattern of GaGe2S4 for Cu Kα, 1.54184 Å, from a DFT-relaxed cell (PBE, Alexandria).

Crystal structure
```
GaGe2S4
1.0
-3.902 3.902 3.011
3.902 -3.902 3.011
3.902 3.902 -3.011
Ga Ge S
1 2 4
direct
0.000 0.000 0.000 Ga
0.250 0.750 0.500 Ge
0.750 0.250 0.500 Ge
0.170 0.351 0.520 S
0.351 0.830 0.181 S
0.649 0.170 0.819 S
0.830 0.649 0.480 S
```

Main lines, low angle first (10 to 80 degrees two-theta):
d 5.518, 16.1 deg, I = 71; d 4.767, 18.6 deg, I = 30; d 3.902, 22.8 deg, I = 59; d 3.019, 29.6 deg, I = 82; d 2.759, 32.4 deg, I = 53; d 2.643, 33.9 deg, I = 54; d 1.909, 47.6 deg, I = 100; d 1.745, 52.4 deg, I = 30



Entry 12:
Theoretical X-ray diffraction stick pattern of TlGaGeS4 for Cu Kα, 1.54184 Å, from a DFT-relaxed cell (PBE, Alexandria).

Crystal structure
```
TlGaGeS4
1.0
4.367 -6.158 0.000
4.367 6.158 0.000
0.000 0.000 7.267
Tl Ga Ge S
2 2 2 8
direct
0.000 0.000 0.000 Tl
0.000 0.000 0.500 Tl
0.376 0.624 0.750 Ga
0.624 0.376 0.250 Ga
0.374 0.626 0.250 Ge
0.626 0.374 0.750 Ge
0.263 0.737 0.004 S
0.263 0.737 0.496 S
0.302 0.312 0.250 S
0.312 0.302 0.750 S
0.688 0.698 0.250 S
0.698 0.688 0.750 S
0.737 0.263 0.504 S
0.737 0.263 0.996 S
```

Main lines, low angle first (10 to 80 degrees two-theta):
d 6.158, 14.4 deg, I = 43; d 4.367, 20.3 deg, I = 67; d 3.715, 24.0 deg, I = 60; d 3.237, 27.6 deg, I = 100; d 2.375, 37.9 deg, I = 30; d 2.349, 38.3 deg, I = 24; d 2.234, 40.4 deg, I = 21; d 2.069, 43.8 deg, I = 57



Entry 13:
Theoretical X-ray diffraction stick pattern of V12Ga2GeS24 for Cu Kα, 1.54184 Å, from a DFT-relaxed cell (PBE, Alexandria).

Crystal structure
```
V12Ga2GeS24
1.0
-3.434 10.297 4.856
3.434 -10.297 4.856
3.434 10.297 -4.856
V Ga Ge S
12 2 1 24
direct
0.070 0.000 0.070 V
0.209 0.420 0.211 V
0.209 0.999 0.789 V
0.260 0.998 0.262 V
0.402 0.000 0.402 V
0.542 0.000 0.123 V
0.542 0.419 0.542 V
0.597 0.000 0.598 V
0.736 0.998 0.738 V
0.877 0.000 0.458 V
0.877 0.419 0.877 V
0.930 0.000 0.930 V
0.270 0.604 0.666 Ga
0.938 0.604 0.334 Ga
0.605 0.605 0.000 Ge
0.133 0.193 0.393 S
0.133 0.740 0.940 S
0.148 0.234 0.914 S
0.167 0.743 0.425 S
0.307 0.233 0.591 S
0.307 0.716 0.074 S
0.318 0.743 0.575 S
0.320 0.234 0.086 S
0.469 0.197 0.728 S
0.469 0.742 0.272 S
0.480 0.233 0.246 S
0.498 0.740 0.758 S
0.642 0.233 0.926 S
0.642 0.716 0.409 S
0.649 0.740 0.909 S
0.653 0.234 0.419 S
0.801 0.193 0.060 S
0.801 0.740 0.607 S
0.815 0.234 0.581 S
0.830 0.740 0.091 S
0.975 0.235 0.259 S
0.975 0.716 0.741 S
0.982 0.740 0.242 S
0.987 0.233 0.754 S
```

Main lines, low angle first (10 to 80 degrees two-theta):
d 5.606, 15.8 deg, I = 35; d 4.855, 18.3 deg, I = 39; d 3.433, 26.0 deg, I = 29; d 2.928, 30.5 deg, I = 94; d 2.428, 37.0 deg, I = 89; d 1.982, 45.8 deg, I = 34; d 1.869, 48.7 deg, I = 65; d 1.717, 53.4 deg, I = 100